[1]
The following is a calculated powder X-ray diffraction pattern of Al15Fe9O32. It was derived from a cell relaxed with PBE+U, using Cu Ka.

Most intense lines, 5 to 70 degrees two-theta, low angle first:
two_theta	Rel. int.
30.59	66
30.75	32
35.91	49
36.19	100
58.27	39
63.60	25
63.76	25
64.04	25

Structure:
a = 5.852 Å, b = 5.852 Å, c = 19.309 Å
α = 98.36°, β = 98.36°, γ = 59.56°
Element x y z (fractional)
Al 0.000 0.000 0.000
Al 0.000 0.500 0.000
Al 0.000 0.500 0.500
Al 0.125 0.125 0.875
Al 0.250 0.250 0.751
Al 0.251 0.749 0.250
Al 0.251 0.749 0.750
Al 0.373 0.373 0.626
Al 0.500 0.000 0.000
Al 0.500 0.000 0.500
Al 0.627 0.627 0.374
Al 0.749 0.251 0.250
Al 0.749 0.251 0.750
Al 0.750 0.750 0.249
Al 0.875 0.875 0.125
Fe 0.030 0.030 0.593
Fe 0.218 0.218 0.157
Fe 0.282 0.282 0.343
Fe 0.469 0.469 0.907
Fe 0.500 0.500 0.500
Fe 0.531 0.531 0.093
Fe 0.718 0.718 0.657
Fe 0.782 0.782 0.843
Fe 0.970 0.970 0.407
O 0.042 0.042 0.191
O 0.045 0.604 0.191
O 0.067 0.067 0.700
O 0.105 0.542 0.693
O 0.145 0.706 0.058
O 0.183 0.183 0.051
O 0.199 0.643 0.560
O 0.205 0.205 0.559
O 0.292 0.292 0.941
O 0.294 0.855 0.942
O 0.314 0.314 0.449
O 0.357 0.801 0.440
O 0.396 0.955 0.809
O 0.432 0.432 0.801
O 0.458 0.458 0.308
O 0.458 0.895 0.307
O 0.542 0.105 0.693
O 0.542 0.542 0.692
O 0.568 0.568 0.199
O 0.604 0.045 0.191
O 0.643 0.199 0.560
O 0.686 0.686 0.551
O 0.706 0.145 0.058
O 0.708 0.708 0.059
O 0.795 0.795 0.441
O 0.801 0.357 0.440
O 0.817 0.817 0.949
O 0.855 0.294 0.942
O 0.895 0.458 0.307
O 0.933 0.933 0.300
O 0.955 0.396 0.809
O 0.958 0.958 0.809

[2]
The following is a calculated powder X-ray diffraction pattern of AlFeO3. It was derived from a cell relaxed with PBE+U, using Cu Ka.

Most intense lines, 5 to 70 degrees two-theta, low angle first:
two_theta	Rel. int.
22.49	27
28.00	67
30.40	29
33.29	100
35.33	32
40.81	28
61.77	40
64.07	38

Structure:
a = 5.044 Å, b = 8.669 Å, c = 9.377 Å
α = 90.00°, β = 90.00°, γ = 90.00°
Element x y z (fractional)
Al 0.169 0.155 0.000
Al 0.182 0.837 0.801
Al 0.318 0.337 0.301
Al 0.331 0.655 0.500
Al 0.669 0.345 0.000
Al 0.682 0.663 0.801
Al 0.818 0.163 0.301
Al 0.831 0.845 0.500
Fe 0.168 0.471 0.799
Fe 0.184 0.149 0.579
Fe 0.316 0.649 0.079
Fe 0.332 0.971 0.299
Fe 0.668 0.029 0.799
Fe 0.684 0.351 0.579
Fe 0.816 0.851 0.079
Fe 0.832 0.529 0.299
O 0.000 0.326 0.941
O 0.000 0.674 0.441
O 0.003 0.990 0.927
O 0.019 0.680 0.914
O 0.146 0.166 0.193
O 0.164 0.831 0.170
O 0.166 0.492 0.200
O 0.334 0.992 0.700
O 0.336 0.331 0.670
O 0.354 0.666 0.693
O 0.481 0.180 0.414
O 0.497 0.490 0.427
O 0.500 0.174 0.941
O 0.500 0.826 0.441
O 0.503 0.510 0.927
O 0.519 0.820 0.914
O 0.646 0.334 0.193
O 0.664 0.669 0.170
O 0.666 0.008 0.200
O 0.834 0.508 0.700
O 0.836 0.169 0.670
O 0.854 0.834 0.693
O 0.981 0.320 0.414
O 0.997 0.010 0.427

[3]
The following is a calculated powder X-ray diffraction pattern of AlFeO3. It was derived from a cell relaxed with PBE+U, using Cu Ka.

Most intense lines, 5 to 70 degrees two-theta, low angle first:
two_theta	Rel. int.
14.81	23
29.87	46
33.31	100
35.83	18
50.47	33
56.97	15
57.85	37
66.47	24

Structure:
a = 3.188 Å, b = 3.188 Å, c = 11.964 Å
α = 90.00°, β = 90.00°, γ = 120.00°
Element x y z (fractional)
Al 0.000 0.000 0.000
Al 0.000 0.000 0.500
Fe 0.333 0.667 0.250
Fe 0.667 0.333 0.750
O 0.000 0.000 0.250
O 0.000 0.000 0.750
O 0.333 0.667 0.076
O 0.333 0.667 0.424
O 0.667 0.333 0.576
O 0.667 0.333 0.924

[4]
The following is a calculated powder X-ray diffraction pattern of AlFeO3. It was derived from a cell relaxed with PBE+U, using Cu Ka.

Most intense lines, 5 to 70 degrees two-theta, low angle first:
two_theta	Rel. int.
22.39	28
33.57	56
33.85	49
34.29	100
35.93	34
36.11	35
45.69	28
63.72	27

Structure:
a = 4.975 Å, b = 5.000 Å, c = 7.945 Å
α = 88.66°, β = 89.66°, γ = 89.61°
Element x y z (fractional)
Al 0.000 0.000 0.000
Al 0.025 0.020 0.483
Al 0.493 0.517 0.496
Al 0.531 0.503 0.987
Fe 0.012 0.510 0.741
Fe 0.013 0.511 0.241
Fe 0.512 0.011 0.241
Fe 0.513 0.010 0.741
O 0.154 0.369 0.495
O 0.169 0.179 0.163
O 0.176 0.171 0.828
O 0.354 0.681 0.148
O 0.359 0.675 0.813
O 0.362 0.864 0.481
O 0.663 0.157 0.001
O 0.667 0.342 0.668
O 0.670 0.343 0.333
O 0.849 0.847 0.654
O 0.857 0.845 0.318
O 0.871 0.651 0.988

[5]
The following is a calculated powder X-ray diffraction pattern of AlFe2O4. It was derived from a cell relaxed with PBE+U, using Cu Ka.

Most intense lines, 5 to 70 degrees two-theta, low angle first:
two_theta	Rel. int.
18.17	39
18.45	54
35.29	100
35.49	32
35.73	66
43.02	36
43.16	72
62.58	73

Structure:
a = 5.939 Å, b = 5.939 Å, c = 5.939 Å
α = 120.87°, β = 119.34°, γ = 89.83°
Element x y z (fractional)
Al 0.382 0.132 0.250
Al 0.618 0.868 0.750
Fe 0.000 0.000 0.500
Fe 0.000 0.500 0.000
Fe 0.000 0.500 0.500
Fe 0.500 0.500 0.000
O 0.249 0.743 0.506
O 0.257 0.261 0.505
O 0.257 0.752 0.995
O 0.263 0.257 0.006
O 0.737 0.743 0.994
O 0.743 0.248 0.005
O 0.743 0.739 0.495
O 0.751 0.257 0.494

[6]
The following is a calculated powder X-ray diffraction pattern of AlFe2O4. It was derived from a cell relaxed with PBE+U, using Cu Ka.

Most intense lines, 5 to 70 degrees two-theta, low angle first:
two_theta	Rel. int.
18.35	46
30.19	9
35.56	100
37.19	13
43.22	54
47.32	11
57.16	31
62.77	55

Structure:
a = 5.921 Å, b = 5.921 Å, c = 5.921 Å
α = 60.00°, β = 60.00°, γ = 60.00°
Element x y z (fractional)
Al 0.125 0.125 0.125
Al 0.875 0.875 0.875
Fe 0.000 0.500 0.500
Fe 0.500 0.000 0.500
Fe 0.500 0.500 0.000
Fe 0.500 0.500 0.500
O 0.248 0.751 0.751
O 0.249 0.249 0.249
O 0.249 0.249 0.752
O 0.249 0.752 0.249
O 0.751 0.248 0.751
O 0.751 0.751 0.248
O 0.751 0.751 0.751
O 0.752 0.249 0.249

Repeat the first record exactly.
The following is a calculated powder X-ray diffraction pattern of Al15Fe9O32. It was derived from a cell relaxed with PBE+U, using Cu Ka.

Most intense lines, 5 to 70 degrees two-theta, low angle first:
two_theta	Rel. int.
30.59	66
30.75	32
35.91	49
36.19	100
58.27	39
63.60	25
63.76	25
64.04	25

Structure:
a = 5.852 Å, b = 5.852 Å, c = 19.309 Å
α = 98.36°, β = 98.36°, γ = 59.56°
Element x y z (fractional)
Al 0.000 0.000 0.000
Al 0.000 0.500 0.000
Al 0.000 0.500 0.500
Al 0.125 0.125 0.875
Al 0.250 0.250 0.751
Al 0.251 0.749 0.250
Al 0.251 0.749 0.750
Al 0.373 0.373 0.626
Al 0.500 0.000 0.000
Al 0.500 0.000 0.500
Al 0.627 0.627 0.374
Al 0.749 0.251 0.250
Al 0.749 0.251 0.750
Al 0.750 0.750 0.249
Al 0.875 0.875 0.125
Fe 0.030 0.030 0.593
Fe 0.218 0.218 0.157
Fe 0.282 0.282 0.343
Fe 0.469 0.469 0.907
Fe 0.500 0.500 0.500
Fe 0.531 0.531 0.093
Fe 0.718 0.718 0.657
Fe 0.782 0.782 0.843
Fe 0.970 0.970 0.407
O 0.042 0.042 0.191
O 0.045 0.604 0.191
O 0.067 0.067 0.700
O 0.105 0.542 0.693
O 0.145 0.706 0.058
O 0.183 0.183 0.051
O 0.199 0.643 0.560
O 0.205 0.205 0.559
O 0.292 0.292 0.941
O 0.294 0.855 0.942
O 0.314 0.314 0.449
O 0.357 0.801 0.440
O 0.396 0.955 0.809
O 0.432 0.432 0.801
O 0.458 0.458 0.308
O 0.458 0.895 0.307
O 0.542 0.105 0.693
O 0.542 0.542 0.692
O 0.568 0.568 0.199
O 0.604 0.045 0.191
O 0.643 0.199 0.560
O 0.686 0.686 0.551
O 0.706 0.145 0.058
O 0.708 0.708 0.059
O 0.795 0.795 0.441
O 0.801 0.357 0.440
O 0.817 0.817 0.949
O 0.855 0.294 0.942
O 0.895 0.458 0.307
O 0.933 0.933 0.300
O 0.955 0.396 0.809
O 0.958 0.958 0.809